# Na6Ag
Simulated X-ray powder pattern, Cu Kα (λ = 1.5418 Å). Input: DFT lattice parameters and positions (PBE).
Lines closer than 0.1° are merged.

```
data_Na6Ag
_chemical_formula_sum 'Na24 Ag4'
_cell_length_a 9.9194
_cell_length_b 8.6233
_cell_length_c 10.5699
_cell_angle_alpha 90.00
_cell_angle_beta 90.00
_cell_angle_gamma 90.00
_symmetry_space_group_name_H-M 'C m c m'
_symmetry_Int_Tables_number 63
_symmetry_space_group_name_Hall '-C 2c 2'
loop_
_atom_site_label
_atom_site_fract_x
_atom_site_fract_y
_atom_site_fract_z
Na1 0.0000 0.1661 0.0887
Na2 0.1743 0.5000 0.0000
Na3 0.1801 0.2104 0.7500
Ag1 0.0000 0.4717 0.2500
```

Peak list (12 most intense, 10° ≤ 2θ ≤ 80°, in order of rising 2θ)
- 13.61 deg, intensity 1000, hkl 1 1 0
- 16.78 deg, intensity 241, hkl 0 0 2
- 17.88 deg, intensity 263, hkl 2 0 0
- 21.66 deg, intensity 573, hkl 1 1 2
- 24.62 deg, intensity 184, hkl 2 0 2
- 30.16 deg, intensity 223, hkl 3 1 1
- 32.31 deg, intensity 703, hkl 2 2 2
- 32.43 deg, intensity 391, hkl 1 3 0
- 33.61 deg, intensity 816, hkl 3 1 2
- 33.92 deg, intensity 169, hkl 0 0 4
- 36.71 deg, intensity 415, hkl 1 1 4
- 45.56 deg, intensity 172, hkl 4 2 2